For GaNiIO6, a crystal structure in Alexandria, relaxed with PBE+U gives the computed X-ray diffraction stick pattern in this record (Cu Ka).
Peak positions follow from Bragg's law for the DFT cell and can differ from measured ones.

Atomic structure:
```
GaNiIO6
1.0
5.0695 0.0000 0.0000
-2.5347 4.3903 0.0000
0.0000 0.0000 9.0063
Ga Ni I O
2 2 2 12
Cartesian
0.0000 2.9269 2.2516
2.5347 1.4634 6.7547
0.0000 0.0000 0.0000
0.0000 0.0000 4.5031
0.0000 2.9269 6.7547
2.5347 1.4634 2.2516
-0.8462 1.5828 5.6956
-1.5871 2.8660 7.8138
0.8462 1.5828 7.8138
-0.7409 4.3317 5.6956
1.7938 0.0585 1.1924
0.9476 1.5242 3.3107
1.5871 2.8660 5.6956
0.7409 4.3317 7.8138
3.2756 0.0585 3.3107
1.6885 2.8075 1.1924
4.1218 1.5242 1.1924
3.3809 2.8075 3.3107
```

Principal peaks in the range 2θ = 10–90°, in order of falling intensity:
28.39°, rel. 100, hkl 1 0 2
54.51°, rel. 53, hkl 1 1 4
35.41°, rel. 47, hkl 1 1 0
40.85°, rel. 31, hkl 1 1 2
19.71°, rel. 31, hkl 0 0 2
46.00°, rel. 25, hkl 2 0 2